Diffraction record for Pr8Sm3Pu. The PXRD pattern is theoretical, not measured: it uses a cell relaxed with GGA-PBE and CuKα.
No peak broadening, texture or thermal motion is included.

Most intense lines, 5° ≤ 2θ ≤ 70°, low angle first:
- 14.2°, I = 34
- 20.8°, I = 36
- 23.7°, I = 45
- 28.5°, I = 73
- 30.6°, I = 59
- 35.6°, I = 100
- 42.3°, I = 45
- 43.8°, I = 40
- 55.2°, I = 31
- 57.6°, I = 30

Crystal structure
```
data_Pr8Sm3Pu
_chemical_formula_sum 'Pr16 Sm6 Pu2'
_cell_length_a 8.8437
_cell_length_b 8.8437
_cell_length_c 11.7038
_cell_angle_alpha 90.00
_cell_angle_beta 90.00
_cell_angle_gamma 90.00
_space_group_name_H-M_alt 'I -4 2 m'
_space_group_IT_number 121
_space_group_name_Hall 'I -4 2'
loop_
_atom_site_label
_atom_site_type_symbol
_atom_site_fract_x
_atom_site_fract_y
_atom_site_fract_z
Pr1 Pr 0.1242 0.1242 0.2624
Pr2 Pr 0.2362 0.2362 0.5214
Sm1 Sm 0.0000 0.0000 0.0000
Sm2 Sm 0.0000 0.5000 0.2500
Pu1 Pu 0.0000 0.0000 0.5000
```